For Rb2LaRhBr6, a structure optimized by DFT (PBE) gives the theoretical powder X-ray diffraction pattern in this record (Cu Kα, 1.54184 Å).
No peak broadening, texture or thermal motion is included.

Top 10 peaks for 10° ≤ 2θ ≤ 80°, low angle first:
d 5.637, I 38, (1 1 0); d 3.986, I 38, (2 0 0); d 3.255, I 43, (2 0 2); d 2.819, I 100, (2 2 0); d 2.521, I 19, (1 1 4); d 2.301, I 17, (2 0 4); d 1.993, I 71, (4 0 0); d 1.700, I 18, (2 0 6); d 1.627, I 24, (4 0 4); d 1.261, I 31, (4 4 4)

Unit cell a=7.9687 b=7.9687 c=11.2842 alpha=90.00 beta=90.00 gamma=90.00
Space group I4/mmm (No. 139)
One atom of each set of equivalent atoms:
1 Rb 0.0000 0.5000 0.2500 (multiplicity 4)
2 La 0.0000 0.0000 0.0000 (multiplicity 2)
3 Rh 0.0000 0.0000 0.5000 (multiplicity 2)
4 Br 0.0000 0.0000 0.2587 (multiplicity 4)
5 Br 0.2410 0.2410 0.5000 (multiplicity 8)


For ZnMo5, a structure optimized by DFT (PBE) gives the theoretical powder X-ray diffraction pattern in this record (Cu Kα, 1.54184 Å).
No peak broadening, texture or thermal motion is included.

Top 10 peaks for 10° ≤ 2θ ≤ 80°, low angle first:
d 6.581, I 1, (0 2 0); d 4.154, I 1, (1 1 0); d 2.311, I 1, (0 4 1); d 2.241, I 100, (1 3 1); d 2.191, I 47, (2 0 0); d 1.623, I 9, (0 0 2); d 1.549, I 15, (2 6 0); d 1.304, I 17, (2 0 2); d 1.275, I 15, (1 9 1); d 1.274, I 16, (3 3 1)

Unit cell a=4.3774 b=13.1623 c=3.2453 alpha=90.00 beta=90.00 gamma=90.00
Space group Cmmm (No. 65)
One atom of each set of equivalent atoms:
1 Zn 0.0000 0.0000 0.0000 (multiplicity 2)
2 Mo 0.0000 0.1690 0.5000 (multiplicity 4)
3 Mo 0.0000 0.3376 0.0000 (multiplicity 4)
4 Mo 0.0000 0.5000 0.5000 (multiplicity 2)